(1)
Simulated powder diffraction line list of AcBO3 for Cu Kα, 1.54184 Å, from DFT lattice parameters and positions (PBE).
Kinematic intensities with the Lorentz-polarization factor, no thermal factor.

Structure:
a b c (Å): 3.7217 3.7217 3.7217
angles (deg): 90.00 90.00 90.00
Space group Pm-3m (No. 221)
Asymmetric unit:
Ac  0.0000  0.0000  0.0000
B  0.5000  0.5000  0.5000
O  0.0000  0.5000  0.5000

Principal peaks in the range 2θ from 10° to 90°, by angle:
2θ/deg  I (rel.)  (hkl)
23.91  100  1 0 0
34.07  100  1 1 0
42.05  57  1 1 1
48.95  30  2 0 0
55.19  46  2 1 0
60.98  40  2 1 1
71.73  18  2 2 0
76.84  23  3 0 0
81.85  18  3 1 0
86.79  21  3 1 1

---

(2)
Simulated powder diffraction line list of BaAc3 for Cu Kα, 1.54184 Å, from DFT lattice parameters and positions (PBE).
Kinematic intensities with the Lorentz-polarization factor, no thermal factor.

Structure:
a b c (Å): 8.2404 8.2404 6.5891
angles (deg): 90.00 90.00 120.00
Space group P6_3/mmc (No. 194)
Asymmetric unit:
Ba  0.3333  0.6667  0.2500
Ac  0.1620  0.3240  0.7500

Principal peaks in the range 2θ from 10° to 90°, by angle:
2θ/deg  I (rel.)  (hkl)
24.95  23  2 0 0
27.07  25  0 0 2
28.45  100  2 0 1
37.14  17  2 0 2
43.95  21  2 2 0
48.68  23  2 0 3
52.38  25  2 2 2
53.19  18  4 0 1
71.39  15  4 2 1
84.26  10  4 2 3

---

(3)
Simulated powder diffraction line list of Ac3Br for Cu Kα, 1.54184 Å, from DFT lattice parameters and positions (PBE).
Kinematic intensities with the Lorentz-polarization factor, no thermal factor.

Structure:
a b c (Å): 7.9417 7.9417 5.8573
angles (deg): 90.00 90.00 120.00
Space group P6_3/mmc (No. 194)
Asymmetric unit:
Ac  0.1709  0.3417  0.2500
Br  0.3333  0.6667  0.7500

Principal peaks in the range 2θ from 10° to 90°, by angle:
2θ/deg  I (rel.)  (hkl)
19.91  11  1 0 1
25.91  24  2 0 0
30.14  100  2 0 1
30.52  22  0 0 2
40.46  15  2 0 2
45.70  21  2 2 0
54.01  20  2 0 3
55.72  18  4 0 1
55.95  24  2 2 2
74.82  15  4 2 1

---

(4)
Simulated powder diffraction line list of Ca3Ac for Cu Kα, 1.54184 Å, from DFT lattice parameters and positions (PBE).
Kinematic intensities with the Lorentz-polarization factor, no thermal factor.

Structure:
a b c (Å): 8.7651 8.7651 8.7651
angles (deg): 90.00 90.00 90.00
Space group Fm-3m (No. 225)
Asymmetric unit:
Ca  0.0000  0.0000  0.0000
Ca  0.2500  0.2500  0.2500
Ac  0.0000  0.0000  0.5000

Principal peaks in the range 2θ from 10° to 90°, by angle:
2θ/deg  I (rel.)  (hkl)
17.53  54  1 1 1
20.26  29  2 0 0
28.81  100  2 2 0
33.92  34  3 1 1
41.20  19  4 0 0
45.09  16  3 3 1
46.32  15  4 2 0
51.05  40  4 2 2
67.60  17  6 2 0
82.32  19  6 4 2

---

(5)
Simulated powder diffraction line list of CaAcGa2 for Cu Kα, 1.54184 Å, from DFT lattice parameters and positions (PBE).
Kinematic intensities with the Lorentz-polarization factor, no thermal factor.

Structure:
a b c (Å): 7.6458 7.6458 7.6458
angles (deg): 90.00 90.00 90.00
Space group Fm-3m (No. 225)
Asymmetric unit:
Ca  0.0000  0.0000  0.0000
Ac  0.0000  0.0000  0.5000
Ga  0.2500  0.2500  0.2500

Principal peaks in the range 2θ from 10° to 90°, by angle:
2θ/deg  I (rel.)  (hkl)
20.12  41  1 1 1
23.27  10  2 0 0
33.14  100  2 2 0
39.07  24  3 1 1
47.57  18  4 0 0
52.14  11  3 3 1
59.20  37  4 2 2
63.19  9  5 1 1
69.55  12  4 4 0
79.24  16  6 2 0

---

(6)
Simulated powder diffraction line list of CaAcZn2 for Cu Kα, 1.54184 Å, from DFT lattice parameters and positions (PBE).
Kinematic intensities with the Lorentz-polarization factor, no thermal factor.

Structure:
a b c (Å): 7.6422 7.6422 7.6422
angles (deg): 90.00 90.00 90.00
Space group Fm-3m (No. 225)
Asymmetric unit:
Ca  0.0000  0.0000  0.0000
Ac  0.0000  0.0000  0.5000
Zn  0.2500  0.2500  0.2500

Principal peaks in the range 2θ from 10° to 90°, by angle:
2θ/deg  I (rel.)  (hkl)
20.13  42  1 1 1
23.28  10  2 0 0
33.16  100  2 2 0
39.09  25  3 1 1
47.60  18  4 0 0
52.17  11  3 3 1
59.23  37  4 2 2
63.23  9  5 1 1
69.59  11  4 4 0
79.29  16  6 2 0